# 1
Diffraction record for KSmS2O9. The X-ray diffraction stick pattern is theoretical, not measured: it uses a DFT-relaxed cell (PBE, the Materials Project) and a wavelength of 1.5418 Å.

Peak list (10 most intense, 2θ = 10–80°, in order of rising 2θ)
| Position (°2θ) | I/Imax |
| --- | --- |
| 13.9 | 100 |
| 14.2 | 84 |
| 20.0 | 24 |
| 26.4 | 57 |
| 27.6 | 42 |
| 28.6 | 17 |
| 29.2 | 50 |
| 34.0 | 18 |
| 34.8 | 17 |
| 41.5 | 19 |

Cell: 10.007 8.802 10.344 Å, 90.00 117.40 90.00°
Positions (direct):
K: 0.227 0.197 0.198
K: 0.227 0.303 0.698
K: 0.773 0.697 0.302
K: 0.773 0.803 0.802
Sm: 0.262 0.642 0.026
Sm: 0.262 0.858 0.526
Sm: 0.738 0.142 0.474
Sm: 0.738 0.358 0.974
S: 0.057 0.626 0.180
S: 0.057 0.874 0.680
S: 0.472 0.686 0.879
S: 0.472 0.814 0.379
S: 0.528 0.186 0.621
S: 0.528 0.314 0.121
S: 0.943 0.126 0.320
S: 0.943 0.374 0.820
O: 0.053 0.744 0.074
O: 0.053 0.756 0.574
O: 0.093 0.053 0.372
O: 0.093 0.447 0.872
O: 0.093 0.698 0.324
O: 0.093 0.802 0.824
O: 0.174 0.515 0.193
O: 0.174 0.985 0.693
O: 0.293 0.584 0.538
O: 0.293 0.916 0.038
O: 0.332 0.591 0.828
O: 0.332 0.909 0.328
O: 0.396 0.094 0.599
O: 0.396 0.406 0.099
O: 0.452 0.693 0.273
O: 0.452 0.807 0.773
O: 0.497 0.750 0.023
O: 0.497 0.750 0.523
O: 0.503 0.250 0.477
O: 0.503 0.250 0.977
O: 0.548 0.193 0.227
O: 0.548 0.307 0.727
O: 0.604 0.594 0.901
O: 0.604 0.906 0.401
O: 0.668 0.091 0.672
O: 0.668 0.409 0.172
O: 0.707 0.084 0.962
O: 0.707 0.416 0.462
O: 0.826 0.015 0.307
O: 0.826 0.485 0.807
O: 0.907 0.198 0.176
O: 0.907 0.302 0.676
O: 0.907 0.553 0.128
O: 0.907 0.947 0.628
O: 0.947 0.244 0.426
O: 0.947 0.256 0.926

# 2
Diffraction record for LiAgF2. The X-ray diffraction stick pattern is theoretical, not measured: it uses a DFT-relaxed cell (PBE, the Materials Project) and a wavelength of 1.5418 Å.

Peak list (10 most intense, 2θ = 10–80°, in order of rising 2θ)
| Position (°2θ) | I/Imax |
| --- | --- |
| 14.0 | 100 |
| 28.2 | 24 |
| 34.3 | 88 |
| 35.2 | 21 |
| 35.3 | 46 |
| 39.0 | 14 |
| 42.9 | 17 |
| 48.0 | 15 |
| 52.0 | 18 |
| 60.8 | 19 |

Cell: 3.048 3.048 6.543 Å, 102.99 102.99 60.02°
Positions (direct):
Li: 0.000 0.000 0.000
Ag: 0.481 0.519 0.500
F: 0.376 0.389 0.171
F: 0.611 0.624 0.829

# 3
Diffraction record for AlCoN2. The X-ray diffraction stick pattern is theoretical, not measured: it uses a DFT-relaxed cell (PBE, the Materials Project) and a wavelength of 1.5418 Å.

Peak list (10 most intense, 2θ = 10–80°, in order of rising 2θ)
| Position (°2θ) | I/Imax |
| --- | --- |
| 21.7 | 28 |
| 23.0 | 29 |
| 32.9 | 65 |
| 33.2 | 34 |
| 36.8 | 68 |
| 37.9 | 100 |
| 38.1 | 47 |
| 59.1 | 41 |
| 67.0 | 34 |
| 71.7 | 34 |

Cell: 5.395 6.303 4.881 Å, 90.00 90.00 90.00°
Positions (direct):
Al: 0.088 0.125 0.000
Al: 0.412 0.625 0.500
Al: 0.588 0.375 0.000
Al: 0.912 0.875 0.500
Co: 0.079 0.623 0.993
Co: 0.421 0.123 0.493
Co: 0.579 0.877 0.993
Co: 0.921 0.377 0.493
N: 0.082 0.630 0.378
N: 0.084 0.123 0.393
N: 0.416 0.623 0.893
N: 0.418 0.130 0.878
N: 0.582 0.870 0.378
N: 0.584 0.377 0.393
N: 0.916 0.877 0.893
N: 0.918 0.370 0.878

# 4
Diffraction record for SmDyFe17. The X-ray diffraction stick pattern is theoretical, not measured: it uses a DFT-relaxed cell (PBE, the Materials Project) and a wavelength of 1.5418 Å.

Peak list (10 most intense, 2θ = 10–80°, in order of rising 2θ)
| Position (°2θ) | I/Imax |
| --- | --- |
| 30.2 | 40 |
| 36.6 | 42 |
| 38.0 | 27 |
| 42.5 | 62 |
| 42.9 | 100 |
| 43.8 | 18 |
| 43.9 | 31 |
| 48.2 | 19 |
| 62.8 | 17 |
| 80.0 | 17 |

Cell: 6.411 6.411 6.411 Å, 83.06 83.06 83.06°
Positions (direct):
Sm: 0.000 0.000 0.000
Dy: 0.684 0.684 0.684
Fe: 0.049 0.343 0.634
Fe: 0.049 0.634 0.343
Fe: 0.187 0.685 0.685
Fe: 0.246 0.246 0.246
Fe: 0.342 0.342 0.842
Fe: 0.342 0.842 0.342
Fe: 0.343 0.049 0.634
Fe: 0.343 0.634 0.049
Fe: 0.439 0.439 0.439
Fe: 0.497 0.998 0.998
Fe: 0.634 0.049 0.343
Fe: 0.634 0.343 0.049
Fe: 0.685 0.187 0.685
Fe: 0.685 0.685 0.187
Fe: 0.842 0.342 0.342
Fe: 0.998 0.497 0.998
Fe: 0.998 0.998 0.497

# 5
Diffraction record for CeAlCu2Ni2. The X-ray diffraction stick pattern is theoretical, not measured: it uses a DFT-relaxed cell (PBE, the Materials Project) and a wavelength of 1.5418 Å.

Peak list (10 most intense, 2θ = 10–80°, in order of rising 2θ)
| Position (°2θ) | I/Imax |
| --- | --- |
| 30.1 | 100 |
| 34.8 | 24 |
| 40.3 | 49 |
| 40.5 | 25 |
| 41.7 | 46 |
| 41.8 | 96 |
| 45.7 | 37 |
| 62.5 | 28 |
| 67.0 | 22 |
| 73.5 | 17 |

Cell: 3.969 5.153 5.153 Å, 60.31 90.00 90.00°
Positions (direct):
Ce: 0.000 0.000 0.000
Al: 0.000 0.670 0.670
Cu: 0.000 0.330 0.330
Cu: 0.500 0.495 0.495
Ni: 0.500 0.495 0.996
Ni: 0.500 0.996 0.495

# 6
Diffraction record for CuP4S3Br. The X-ray diffraction stick pattern is theoretical, not measured: it uses a DFT-relaxed cell (PBE, the Materials Project) and a wavelength of 1.5418 Å.

Peak list (10 most intense, 2θ = 10–80°, in order of rising 2θ)
| Position (°2θ) | I/Imax |
| --- | --- |
| 16.8 | 31 |
| 18.4 | 100 |
| 28.3 | 43 |
| 29.0 | 19 |
| 29.4 | 30 |
| 31.4 | 22 |
| 33.1 | 25 |
| 44.7 | 23 |
| 52.1 | 18 |
| 60.6 | 17 |

Cell: 11.854 11.854 10.537 Å, 90.00 90.00 141.13°
Positions (direct):
Cu: 0.195 0.195 0.000
Cu: 0.305 0.305 0.500
Cu: 0.695 0.695 0.500
Cu: 0.805 0.805 0.000
P: 0.061 0.223 0.459
P: 0.118 0.882 0.712
P: 0.215 0.785 0.472
P: 0.223 0.061 0.541
P: 0.277 0.439 0.041
P: 0.285 0.715 0.972
P: 0.382 0.618 0.212
P: 0.439 0.277 0.959
P: 0.561 0.723 0.041
P: 0.618 0.382 0.788
P: 0.715 0.285 0.028
P: 0.723 0.561 0.959
P: 0.777 0.939 0.459
P: 0.785 0.215 0.528
P: 0.882 0.118 0.288
P: 0.939 0.777 0.541
S: 0.049 0.362 0.567
S: 0.138 0.451 0.933
S: 0.210 0.790 0.674
S: 0.290 0.710 0.174
S: 0.362 0.049 0.433
S: 0.451 0.138 0.067
S: 0.549 0.862 0.933
S: 0.638 0.951 0.567
S: 0.710 0.290 0.826
S: 0.790 0.210 0.326
S: 0.862 0.549 0.067
S: 0.951 0.638 0.433
Br: 0.027 0.973 0.175
Br: 0.473 0.527 0.675
Br: 0.527 0.473 0.325
Br: 0.973 0.027 0.825